Entry 1:
For Tb4Ga21Ni10, a DFT-relaxed cell (PBE, Alexandria) gives the theoretical PXRD pattern in this record (a wavelength of 1.5418 Å).
No peak broadening, texture or thermal motion is included.

Crystal structure
Cell lengths 10.6788, 10.6788, 15.3145 Å; angles 123.66, 123.66, 22.31 degrees
Fractional positions:
Tb 0.1211 0.1211 0.3347
Tb 0.2286 0.2286 0.8240
Tb 0.7714 0.7714 0.1760
Tb 0.8789 0.8789 0.6653
Ga 0.0064 0.0064 0.0916
Ga 0.0659 0.0659 0.7970
Ga 0.1172 0.1172 0.5544
Ga 0.1999 0.1999 0.0024
Ga 0.2493 0.2493 0.2952
Ga 0.2975 0.2975 0.4974
Ga 0.3731 0.3731 0.8040
Ga 0.3868 0.3868 0.2961
Ga 0.3989 0.3989 0.9997
Ga 0.4595 0.4595 0.6316
Ga 0.5000 0.5000 0.5000
Ga 0.5405 0.5405 0.3684
Ga 0.6011 0.6011 0.0003
Ga 0.6132 0.6132 0.7039
Ga 0.6269 0.6269 0.1960
Ga 0.7025 0.7025 0.5026
Ga 0.7507 0.7507 0.7048
Ga 0.8001 0.8001 0.9976
Ga 0.8828 0.8828 0.4456
Ga 0.9341 0.9341 0.2030
Ga 0.9936 0.9936 0.9084
Ni 0.0232 0.0232 0.6062
Ni 0.1331 0.1331 0.1059
Ni 0.2492 0.2492 0.6157
Ni 0.3470 0.3470 0.1096
Ni 0.4982 0.4982 0.8165
Ni 0.5018 0.5018 0.1835
Ni 0.6530 0.6530 0.8904
Ni 0.7508 0.7508 0.3843
Ni 0.8669 0.8669 0.8941
Ni 0.9768 0.9768 0.3938

Largest 12 diffraction maxima, sorted by position, 10° ≤ 2θ ≤ 80°:
2θ = 33.7°, rel. 193; 2θ = 36.8°, rel. 192; 2θ = 37.0°, rel. 646; 2θ = 37.6°, rel. 1000; 2θ = 37.9°, rel. 352; 2θ = 38.5°, rel. 588; 2θ = 39.5°, rel. 152; 2θ = 41.8°, rel. 180; 2θ = 43.2°, rel. 154; 2θ = 43.8°, rel. 752; 2θ = 45.9°, rel. 242; 2θ = 47.8°, rel. 179


Entry 2:
For Tb11Ga9Ni4, a DFT-relaxed cell (PBE, Alexandria) gives the theoretical PXRD pattern in this record (a wavelength of 1.5418 Å).
No peak broadening, texture or thermal motion is included.

Crystal structure
Cell lengths 12.4676, 12.4676, 3.5770 Å; angles 90.00, 90.00, 112.71 degrees
Fractional positions:
Tb 0.0000 0.0000 0.0000
Tb 0.0711 0.4126 0.0000
Tb 0.1662 0.8338 0.0000
Tb 0.3090 0.3090 0.0000
Tb 0.3739 0.6261 0.0000
Tb 0.4126 0.0711 0.0000
Tb 0.5874 0.9289 0.0000
Tb 0.6261 0.3739 0.0000
Tb 0.6910 0.6910 0.0000
Tb 0.8338 0.1662 0.0000
Tb 0.9289 0.5874 0.0000
Ga 0.0794 0.2185 0.5000
Ga 0.1659 0.6301 0.5000
Ga 0.2185 0.0794 0.5000
Ga 0.3699 0.8341 0.5000
Ga 0.5000 0.5000 0.5000
Ga 0.6301 0.1659 0.5000
Ga 0.7815 0.9206 0.5000
Ga 0.8341 0.3699 0.5000
Ga 0.9206 0.7815 0.5000
Ni 0.2429 0.4471 0.5000
Ni 0.4471 0.2429 0.5000
Ni 0.5529 0.7571 0.5000
Ni 0.7571 0.5529 0.5000

Largest 12 diffraction maxima, sorted by position, 10° ≤ 2θ ≤ 80°:
2θ = 24.9°, rel. 196; 2θ = 25.8°, rel. 371; 2θ = 33.7°, rel. 192; 2θ = 34.3°, rel. 274; 2θ = 36.1°, rel. 1000; 2θ = 36.2°, rel. 962; 2θ = 36.8°, rel. 673; 2θ = 38.5°, rel. 396; 2θ = 39.6°, rel. 193; 2θ = 51.1°, rel. 332; 2θ = 58.1°, rel. 193; 2θ = 64.6°, rel. 254


Entry 3:
For Tb2Ga3Ni, a DFT-relaxed cell (PBE, Alexandria) gives the theoretical PXRD pattern in this record (a wavelength of 1.5418 Å).
No peak broadening, texture or thermal motion is included.

Crystal structure
Cell lengths 5.5707, 5.5707, 7.1496 Å; angles 128.88, 128.88, 46.21 degrees
Fractional positions:
Tb 0.0000 0.0000 0.0000
Tb 0.0865 0.0865 0.5882
Ga 0.3760 0.3760 0.1984
Ga 0.6876 0.6876 0.9757
Ga 0.7156 0.7156 0.4126
Ni 0.3712 0.3712 0.5700

Largest 12 diffraction maxima, sorted by position, 10° ≤ 2θ ≤ 80°:
2θ = 23.6°, rel. 242; 2θ = 33.7°, rel. 208; 2θ = 34.1°, rel. 273; 2θ = 34.4°, rel. 1000; 2θ = 34.7°, rel. 565; 2θ = 35.1°, rel. 283; 2θ = 41.3°, rel. 416; 2θ = 41.7°, rel. 552; 2θ = 55.3°, rel. 152; 2θ = 57.3°, rel. 132; 2θ = 67.8°, rel. 210; 2θ = 70.9°, rel. 135


Entry 4:
For Tb2Ga3Ni, a DFT-relaxed cell (PBE, Alexandria) gives the theoretical PXRD pattern in this record (a wavelength of 1.5418 Å).
No peak broadening, texture or thermal motion is included.

Crystal structure
Cell lengths 3.6743, 4.3043, 7.5497 Å; angles 90.00, 90.00, 90.00 degrees
Fractional positions:
Tb 0.0000 0.0000 0.0000
Tb 0.0000 0.5000 0.4701
Ga 0.5000 0.0000 0.6392
Ga 0.5000 0.5000 0.1577
Ga 0.5000 0.5000 0.8186
Ni 0.5000 0.0000 0.3146

Largest 12 diffraction maxima, sorted by position, 10° ≤ 2θ ≤ 80°:
2θ = 23.8°, rel. 171; 2θ = 34.1°, rel. 488; 2θ = 34.2°, rel. 1000; 2θ = 41.6°, rel. 477; 2θ = 42.0°, rel. 244; 2θ = 49.6°, rel. 149; 2θ = 54.7°, rel. 119; 2θ = 55.1°, rel. 244; 2θ = 66.7°, rel. 229; 2θ = 67.0°, rel. 124; 2θ = 71.2°, rel. 107; 2θ = 71.7°, rel. 120